Entry 1:
Computed X-ray diffraction stick pattern of HoMgFe2O6 for Cu Kα (weighted mean of Kα1 and Kα2), from a structure optimized by DFT (PBE+U).

Largest 10 diffraction maxima, in order of falling intensity, 2θ from 10° to 90°:
d/Å	2θ (°)	I (rel.)	hkl
2.667	33.61	100.0	2 1 1
4.279	20.76	45.0	1 0 1
4.424	20.07	39.1	1 1 0
1.511	61.34	24.0	2 1 3
2.594	34.58	22.5	0 0 2
1.879	48.44	19.8	0 2 2
2.726	32.85	19.3	0 2 0
2.238	40.30	18.5	1 1 2
3.366	26.48	15.5	1 1 1
1.892	48.09	15.1	4 0 0

Crystal structure
```
data_HoMgFe2O6
_chemical_formula_sum 'Ho2 Mg2 Fe4 O12'
_space_group_name_H-M_alt 'P m n 21'
_space_group_IT_number 31
_space_group_name_Hall 'P 2ac -2'
_cell_length_a 7.5688
_cell_length_b 5.4525
_cell_length_c 5.1884
_cell_angle_alpha 90.00
_cell_angle_beta 90.00
_cell_angle_gamma 90.00
loop_
_atom_site_label
_atom_site_fract_x
_atom_site_fract_y
_atom_site_fract_z
Ho1 0.0000 0.1821 0.0000
Mg1 0.0000 0.6893 0.4680
Fe1 0.2489 0.7434 0.9842
O1 0.0000 0.3016 0.5909
O2 0.0000 0.7877 0.8554
O3 0.1888 0.4471 0.1814
O4 0.1892 0.9379 0.2943
```

=====

Entry 2:
Computed X-ray diffraction stick pattern of Li9Mn2Co5O16 for Cu Kα (weighted mean of Kα1 and Kα2), from a structure optimized by DFT (PBE+U).

Largest 10 diffraction maxima, in order of falling intensity, 2θ from 10° to 90°:
d/Å	2θ (°)	I (rel.)	hkl
4.837	18.34	100.0	1 0 -1
2.119	42.68	29.1	0 2 -3
2.075	43.63	27.3	2 0 2
2.046	44.27	26.0	-2 2 3
2.540	35.34	14.8	1 -2 2
1.468	63.36	14.6	2 -4 0
2.492	36.04	13.5	1 0 3
2.467	36.42	12.3	-1 2 2
1.485	62.55	7.7	2 2 -1
2.389	37.65	7.5	0 2 1

Crystal structure
```
data_Li9Mn2Co5O16
_chemical_formula_sum 'Li9 Mn2 Co5 O16'
_space_group_name_H-M_alt 'P 1'
_space_group_IT_number 1
_space_group_name_Hall 'P 1'
_cell_length_a 5.8691
_cell_length_b 5.8782
_cell_length_c 9.7320
_cell_angle_alpha 91.99
_cell_angle_beta 98.28
_cell_angle_gamma 119.24
loop_
_atom_site_label
_atom_site_fract_x
_atom_site_fract_y
_atom_site_fract_z
Li1 0.0000 0.0000 0.0000
Li2 0.9998 0.2471 0.4977
Li3 0.2466 0.8683 0.2508
Li4 0.2483 0.3722 0.2500
Li5 0.5029 0.2504 0.4962
Li6 0.5027 0.7606 0.4906
Li7 0.7524 0.6278 0.7449
Li8 0.7552 0.1278 0.7467
Li9 0.9979 0.4925 0.0073
Mn1 0.2466 0.6229 0.7444
Mn2 0.2486 0.1285 0.7438
Co1 0.0033 0.7546 0.4991
Co2 0.5004 0.5040 0.0024
Co3 0.5057 0.0049 0.0009
Co4 0.7573 0.8797 0.2565
Co5 0.7600 0.3723 0.2566
O1 0.0995 0.5653 0.3778
O2 0.1046 0.0238 0.3829
O3 0.1299 0.2929 0.8679
O4 0.1470 0.8324 0.8601
O5 0.3583 0.9503 0.6177
O6 0.3628 0.4244 0.6390
O7 0.3827 0.6845 0.1137
O8 0.4014 0.1940 0.1220
O9 0.5982 0.3043 0.8717
O10 0.6010 0.8085 0.8751
O11 0.6283 0.0534 0.3615
O12 0.6519 0.5759 0.3824
O13 0.8561 0.6778 0.1273
O14 0.8677 0.1763 0.1292
O15 0.9060 0.9378 0.6227
O16 0.9066 0.4757 0.6168
```

=====

Entry 3:
Computed X-ray diffraction stick pattern of LiFe5O8 for Cu Kα (weighted mean of Kα1 and Kα2), from a structure optimized by DFT (PBE+U).

Largest 10 diffraction maxima, in order of falling intensity, 2θ from 10° to 90°:
d/Å	2θ (°)	I (rel.)	hkl
2.482	36.20	100.0	3 1 1
4.752	18.67	62.5	1 1 1
1.455	63.99	50.2	4 4 0
2.058	44.01	45.0	4 0 0
1.584	58.25	38.2	5 1 1
2.376	37.87	16.5	2 2 2
4.115	21.59	14.7	2 0 0
2.910	30.72	13.6	2 2 0
1.255	75.79	9.9	5 3 3
1.391	67.30	8.6	5 3 1

Crystal structure
```
data_LiFe5O8
_chemical_formula_sum 'Li4 Fe20 O32'
_space_group_name_H-M_alt 'F -4 3 m'
_space_group_IT_number 216
_space_group_name_Hall 'F -4 2 3'
_cell_length_a 8.2307
_cell_length_b 8.2307
_cell_length_c 8.2307
_cell_angle_alpha 90.00
_cell_angle_beta 90.00
_cell_angle_gamma 90.00
loop_
_atom_site_label
_atom_site_fract_x
_atom_site_fract_y
_atom_site_fract_z
Li1 0.0000 0.0000 0.0000
Fe1 0.1272 0.1272 0.3728
Fe2 0.2500 0.2500 0.7500
O1 0.1150 0.1150 0.6150
O2 0.1379 0.1379 0.1379
```

=====

Entry 4:
Computed X-ray diffraction stick pattern of CaLuMn2O6 for Cu Kα (weighted mean of Kα1 and Kα2), from a structure optimized by DFT (PBE+U).

Largest 10 diffraction maxima, in order of falling intensity, 2θ from 10° to 90°:
d/Å	2θ (°)	I (rel.)	hkl
2.690	33.31	100.0	2 1 1
7.563	11.70	65.1	1 0 0
3.415	26.10	50.7	1 1 1
1.537	60.21	34.4	2 3 1
2.647	33.87	24.1	0 2 0
1.913	47.52	22.9	0 2 2
2.769	32.33	22.5	0 0 2
2.105	42.96	16.1	3 1 1
1.699	53.98	15.6	1 1 3
1.891	48.12	15.4	4 0 0

Crystal structure
```
data_CaLuMn2O6
_chemical_formula_sum 'Ca2 Lu2 Mn4 O12'
_space_group_name_H-M_alt 'P m c 21'
_space_group_IT_number 26
_space_group_name_Hall 'P 2c -2'
_cell_length_a 7.5633
_cell_length_b 5.2937
_cell_length_c 5.5387
_cell_angle_alpha 90.00
_cell_angle_beta 90.00
_cell_angle_gamma 90.00
loop_
_atom_site_label
_atom_site_fract_x
_atom_site_fract_y
_atom_site_fract_z
Ca1 0.0000 0.2360 0.0000
Lu1 0.5000 0.2653 0.1267
Mn1 0.2496 0.2461 0.5577
O1 0.0000 0.3370 0.5842
O2 0.2145 0.0595 0.2497
O3 0.3141 0.4527 0.8543
O4 0.5000 0.1400 0.5180
```

=====

Entry 5:
Computed X-ray diffraction stick pattern of Ta2CrNO5 for Cu Kα (weighted mean of Kα1 and Kα2), from a structure optimized by DFT (PBE+U).

Largest 10 diffraction maxima, in order of falling intensity, 2θ from 10° to 90°:
d/Å	2θ (°)	I (rel.)	hkl
3.370	26.45	100.0	2 0 0
2.591	34.62	39.8	1 1 -3
2.582	34.74	39.1	1 1 3
1.752	52.23	32.4	1 3 -3
4.236	20.97	29.8	1 1 -1
2.383	37.75	25.0	2 2 0
1.758	52.03	15.7	3 1 -3
1.507	61.53	15.7	2 4 0
1.750	52.29	15.5	3 1 3
1.214	78.88	10.1	1 5 -3

Crystal structure
```
data_Ta2CrNO5
_chemical_formula_sum 'Ta8 Cr4 N4 O20'
_space_group_name_H-M_alt 'C 1 m 1'
_space_group_IT_number 8
_space_group_name_Hall 'C -2y'
_cell_length_a 6.7474
_cell_length_b 6.7326
_cell_length_c 9.2388
_cell_angle_alpha 90.00
_cell_angle_beta 90.30
_cell_angle_gamma 90.00
loop_
_atom_site_label
_atom_site_fract_x
_atom_site_fract_y
_atom_site_fract_z
Ta1 0.0000 0.0000 0.0000
Ta2 0.0032 0.5000 0.4939
Ta3 0.4871 0.0000 0.1571
Ta4 0.4958 0.5000 0.6706
Cr1 0.0102 0.5000 0.8263
Cr2 0.0108 0.0000 0.3270
N1 0.2056 0.0000 0.1601
N2 0.3109 0.5000 0.8246
O1 0.0104 0.3041 0.9953
O2 0.0110 0.3036 0.6546
O3 0.0135 0.3073 0.3278
O4 0.2038 0.0000 0.8249
O5 0.2122 0.0000 0.4922
O6 0.3131 0.5000 0.1589
O7 0.3133 0.5000 0.4959
```

=====

Entry 6:
Computed X-ray diffraction stick pattern of Li10Cr2Fe3Co3O16 for Cu Kα (weighted mean of Kα1 and Kα2), from a structure optimized by DFT (PBE+U).

Largest 10 diffraction maxima, in order of falling intensity, 2θ from 10° to 90°:
d/Å	2θ (°)	I (rel.)	hkl
4.584	19.36	100.0	-1 1 1
2.034	44.55	74.7	2 0 -3
2.505	35.85	67.9	0 2 -1
4.923	18.02	61.1	0 0 2
2.556	35.11	53.7	2 -1 2
1.568	58.91	38.2	0 2 -5
2.032	44.60	37.4	2 0 3
2.292	39.30	36.6	0 2 -2
1.496	62.03	35.2	2 -4 0
3.568	24.95	31.3	1 0 -2

Crystal structure
```
data_Li10Cr2Fe3Co3O16
_chemical_formula_sum 'Li10 Cr2 Fe3 Co3 O16'
_space_group_name_H-M_alt 'P 1'
_space_group_IT_number 1
_space_group_name_Hall 'P 1'
_cell_length_a 5.9714
_cell_length_b 5.9836
_cell_length_c 9.8465
_cell_angle_alpha 90.04
_cell_angle_beta 90.03
_cell_angle_gamma 119.90
loop_
_atom_site_label
_atom_site_fract_x
_atom_site_fract_y
_atom_site_fract_z
Li1 0.0000 0.0000 0.0000
Li2 0.0005 0.4113 0.9972
Li3 0.1804 0.8049 0.4288
Li4 0.1884 0.8037 0.9269
Li5 0.3855 0.6198 0.5004
Li6 0.3957 0.1975 0.5007
Li7 0.5208 0.4737 0.7189
Li8 0.5883 0.0035 0.9960
Li9 0.7915 0.6072 0.4966
Li10 0.8561 0.1442 0.2182
Cr1 0.5155 0.4696 0.9725
Cr2 0.8544 0.1455 0.4729
Fe1 0.0196 0.9749 0.7281
Fe2 0.3547 0.1461 0.2304
Fe3 0.8465 0.6393 0.2275
Co1 0.0158 0.4656 0.7304
Co2 0.3535 0.6405 0.2316
Co3 0.5273 0.9768 0.7308
O1 0.0065 0.4734 0.3526
O2 0.0159 0.9751 0.3473
O3 0.1702 0.2951 0.6024
O4 0.1818 0.8127 0.1183
O5 0.1832 0.8048 0.6189
O6 0.2093 0.3107 0.1033
O7 0.3384 0.6218 0.8526
O8 0.3479 0.1381 0.8534
O9 0.5174 0.9877 0.3582
O10 0.5225 0.4718 0.3482
O11 0.6772 0.3164 0.1037
O12 0.6807 0.7840 0.1000
O13 0.7060 0.8309 0.6013
O14 0.7131 0.3083 0.6059
O15 0.8509 0.6386 0.8490
O16 0.8623 0.1395 0.8491
```